Starting from a PBE-relaxed structure, the XRD peak list of BaMn2CrSe8 was simulated for a wavelength of 1.5418 Å.
Neutral-atom scattering factors, no anomalous dispersion.

Largest 10 diffraction maxima, most intense first, 2θ from 10° to 90°:
| h k l | 2θ (°) | d (Å) | I (rel.) |
| --- | --- | --- | --- |
| 1 1 1 | 30.5 | 2.932 | 1000 |
| 2 -1 2 | 35.3 | 2.545 | 666 |
| 1 1 4 | 50.5 | 1.806 | 427 |
| 3 0 0 | 50.9 | 1.793 | 390 |
| 0 0 3 | 30.2 | 2.959 | 343 |
| 3 0 3 | 60.4 | 1.534 | 276 |
| 1 0 2 | 26.0 | 3.424 | 154 |
| 2 -1 5 | 60.0 | 1.541 | 142 |
| 4 -2 1 | 60.5 | 1.530 | 137 |
| 4 -2 4 | 74.6 | 1.272 | 130 |

```
data_BaMn2CrSe8
_cell_length_a 6.2120
_cell_length_b 6.2120
_cell_length_c 8.8766
_cell_angle_alpha 90.00
_cell_angle_beta 90.00
_cell_angle_gamma 120.00
_symmetry_space_group_name_H-M 'P -3'
_symmetry_Int_Tables_number 147
loop_
_symmetry_equiv_pos_as_xyz
'x,y,z'
'-x,-y,-z'
'-y,x-y,z'
'y,-x+y,-z'
'-x+y,-x,z'
'x-y,x,-z'
loop_
_atom_site_label
_atom_site_type_symbol
_atom_site_fract_x
_atom_site_fract_y
_atom_site_fract_z
Ba1 Ba 0.0000 0.0000 0.0000
Mn1 Mn 0.3333 0.6667 0.7501
Cr1 Cr 0.0000 0.0000 0.5000
Se1 Se 0.0105 0.6752 0.3355
Se2 Se 0.3333 0.6667 0.9995
```